Simulated powder diffraction line list of CaTlAuSe for Cu Kα X-rays, from a crystal structure in Alexandria, relaxed with PBE.
Intensities are scaled so that the largest is 100.

Cell and atoms:
Unit cell a=4.2173 b=4.2173 c=7.6011 alpha=90.00 beta=90.00 gamma=120.00
Element x y z (fractional)
Ca 0.0000 0.0000 0.0000
Tl 0.6667 0.3333 0.4756
Au 0.3333 0.6667 0.7384
Se 0.3333 0.6667 0.2075

Main lines, low angle first (2θ = 10–80°):
Position (°2θ)  Rel. int.
11.64  32
24.37  29
27.09  71
34.05  100
42.89  41
43.47  16
51.47  13
55.86  25
56.80  10
66.20  21
69.17  10
72.91  22

---

Simulated powder diffraction line list of Ca5Si2Au for Cu Kα X-rays, from a crystal structure in Alexandria, relaxed with PBE.
Intensities are scaled so that the largest is 100.

Cell and atoms:
Unit cell a=9.2636 b=9.2636 c=9.2636 alpha=131.35 beta=131.35 gamma=71.25
Element x y z (fractional)
Ca 0.0000 0.0000 0.0000
Ca 0.0349 0.5349 0.8517
Ca 0.1831 0.0349 0.5000
Ca 0.3169 0.8169 0.8517
Ca 0.4651 0.3169 0.5000
Ca 0.5000 0.5000 0.0000
Ca 0.5349 0.6831 0.5000
Ca 0.6831 0.1831 0.1483
Ca 0.8169 0.9651 0.5000
Ca 0.9651 0.4651 0.1483
Si 0.1127 0.3873 0.5000
Si 0.3873 0.8873 0.2746
Si 0.6127 0.1127 0.7254
Si 0.8873 0.6127 0.5000
Au 0.2500 0.2500 0.0000
Au 0.7500 0.7500 0.0000

Main lines, low angle first (2θ = 10–80°):
Position (°2θ)  Rel. int.
11.75  35
16.43  67
20.25  96
28.92  71
31.70  42
33.20  40
33.44  100
37.26  72
39.20  25
44.60  29
56.72  25
62.58  27